# 1
# Ce4Si3H4
Computed PXRD pattern, Cu Kα, 1.54184 Å. Input: a PBE-relaxed structure.
Lines closer than 0.1° are merged.

Crystal structure
```
data_Ce4Si3H4
_chemical_formula_sum 'Ce8 Si6 H8'
_space_group_name_H-M_alt 'A m m 2'
_space_group_IT_number 38
_space_group_name_Hall 'A 2 -2'
_cell_length_a 8.122
_cell_length_b 4.109
_cell_length_c 11.325
_cell_angle_alpha 90.00
_cell_angle_beta 90.00
_cell_angle_gamma 90.00
loop_
_atom_site_label
_atom_site_fract_x
_atom_site_fract_y
_atom_site_fract_z
Ce1 0.000 0.000 0.000
Ce2 0.244 0.000 0.700
Ce3 0.500 0.000 0.978
Si1 0.000 0.000 0.292
Si2 0.247 0.000 0.405
H1 0.000 0.000 0.600
H2 0.264 0.000 0.101
H3 0.500 0.000 0.598
```

Top 10 peaks for 5° ≤ 2θ ≤ 70°, in order of rising 2θ:
2theta, I/Imax
23.03, 35
27.02, 82
31.60, 26
31.98, 100
32.20, 68
39.28, 24
44.08, 20
51.26, 26
52.47, 27
56.09, 27

# 2
# Li2Ac2GaO6
Computed PXRD pattern, Cu Kα, 1.54184 Å. Input: a PBE-relaxed structure.
Lines closer than 0.1° are merged.

Crystal structure
```
data_Li2Ac2GaO6
_chemical_formula_sum 'Li6 Ac6 Ga3 O18'
_space_group_name_H-M_alt 'R -3 m'
_space_group_IT_number 166
_space_group_name_Hall '-R 3 2"'
_cell_length_a 5.7105
_cell_length_b 5.7105
_cell_length_c 14.7963
_cell_angle_alpha 90.00
_cell_angle_beta 90.00
_cell_angle_gamma 120.00
loop_
_atom_site_label
_atom_site_fract_x
_atom_site_fract_y
_atom_site_fract_z
Li1 0.0000 0.0000 0.0689
Ac1 0.0000 0.0000 0.2720
Ga1 0.0000 0.0000 0.5000
O1 0.0226 0.5113 0.2515
```

Top 10 peaks for 5° ≤ 2θ ≤ 70°, in order of rising 2θ:
2theta, I/Imax
18.92, 26
21.61, 95
30.17, 77
31.33, 100
35.35, 37
38.38, 47
44.05, 48
50.35, 23
55.05, 31
65.52, 25

# 3
# Na8TlHg3
Computed PXRD pattern, Cu Kα, 1.54184 Å. Input: a PBE-relaxed structure.
Lines closer than 0.1° are merged.

Crystal structure
```
data_Na8TlHg3
_chemical_formula_sum 'Na32 Tl4 Hg12'
_space_group_name_H-M_alt 'F m m m'
_space_group_IT_number 69
_space_group_name_Hall '-F 2 2'
_cell_length_a 10.320
_cell_length_b 10.421
_cell_length_c 15.094
_cell_angle_alpha 90.00
_cell_angle_beta 90.00
_cell_angle_gamma 90.00
loop_
_atom_site_label
_atom_site_fract_x
_atom_site_fract_y
_atom_site_fract_z
Na1 0.000 0.249 0.125
Na2 0.249 0.000 0.126
Tl1 0.000 0.000 0.500
Hg1 0.000 0.000 0.000
Hg2 0.250 0.250 0.250
```

Top 10 peaks for 5° ≤ 2θ ≤ 70°, in order of rising 2θ:
2theta, I/Imax
20.72, 100
20.85, 99
23.58, 21
24.28, 39
34.10, 92
34.42, 22
34.77, 22
39.83, 39
40.59, 37
40.82, 36

# 4
# Ti8O13
Computed PXRD pattern, Cu Kα, 1.54184 Å. Input: a PBE-relaxed structure.
Lines closer than 0.1° are merged.

Crystal structure
```
data_Ti8O13
_chemical_formula_sum 'Ti24 O39'
_space_group_name_H-M_alt 'R -3'
_space_group_IT_number 148
_space_group_name_Hall '-R 3'
_cell_length_a 7.7887
_cell_length_b 7.7887
_cell_length_c 14.0847
_cell_angle_alpha 90.00
_cell_angle_beta 90.00
_cell_angle_gamma 120.00
loop_
_atom_site_label
_atom_site_fract_x
_atom_site_fract_y
_atom_site_fract_z
Ti1 0.0000 0.0000 0.2228
Ti2 0.0247 0.7938 0.4171
O1 0.0000 0.0000 0.5000
O2 0.0287 0.8156 0.6731
O3 0.0801 0.8366 0.1632
```

Top 10 peaks for 5° ≤ 2θ ≤ 70°, in order of rising 2θ:
2theta, I/Imax
14.56, 100
27.19, 19
29.81, 52
34.50, 15
37.52, 14
43.84, 94
50.76, 12
58.43, 14
63.17, 26
64.32, 24

Please write out number 4 again, unchanged.
# Ti8O13
Computed PXRD pattern, Cu Kα, 1.54184 Å. Input: a PBE-relaxed structure.
Lines closer than 0.1° are merged.

Crystal structure
```
data_Ti8O13
_chemical_formula_sum 'Ti24 O39'
_space_group_name_H-M_alt 'R -3'
_space_group_IT_number 148
_space_group_name_Hall '-R 3'
_cell_length_a 7.7887
_cell_length_b 7.7887
_cell_length_c 14.0847
_cell_angle_alpha 90.00
_cell_angle_beta 90.00
_cell_angle_gamma 120.00
loop_
_atom_site_label
_atom_site_fract_x
_atom_site_fract_y
_atom_site_fract_z
Ti1 0.0000 0.0000 0.2228
Ti2 0.0247 0.7938 0.4171
O1 0.0000 0.0000 0.5000
O2 0.0287 0.8156 0.6731
O3 0.0801 0.8366 0.1632
```

Top 10 peaks for 5° ≤ 2θ ≤ 70°, in order of rising 2θ:
2theta, I/Imax
14.56, 100
27.19, 19
29.81, 52
34.50, 15
37.52, 14
43.84, 94
50.76, 12
58.43, 14
63.17, 26
64.32, 24